Entry 1:
Calculated powder X-ray diffraction pattern
Compound: Cs2AcMn2O6
Radiation: Cu Kα (weighted mean of Kα1 and Kα2)
Structure: the GGA+U geometry in Alexandria
Kinematic intensities with the Lorentz-polarization factor, no thermal factor.

Structural model:
```
data_Cs2AcMn2O6
_chemical_formula_sum 'Cs2 Ac1 Mn2 O6'
_symmetry_space_group_name_H-M 'P 1'
_symmetry_Int_Tables_number 1
_cell_length_a 7.748
_cell_length_b 7.748
_cell_length_c 7.748
_cell_angle_alpha 49.08
_cell_angle_beta 49.08
_cell_angle_gamma 49.08
loop_
_symmetry_equiv_pos_as_xyz
'x,y,z'
loop_
_atom_site_label
_atom_site_fract_x
_atom_site_fract_y
_atom_site_fract_z
_atom_site_occupancy
Cs1 0.208 0.208 0.208 1
Cs2 0.792 0.792 0.792 1
Ac1 0.000 0.000 0.000 1
Mn1 0.411 0.411 0.411 1
Mn2 0.589 0.589 0.589 1
O1 0.251 0.251 0.730 1
O2 0.251 0.730 0.251 1
O3 0.270 0.749 0.749 1
O4 0.730 0.251 0.251 1
O5 0.749 0.270 0.749 1
O6 0.749 0.749 0.270 1
```

Main lines, in order of rising 2θ (2θ = 10–80°):
Position (°2θ)  I/Imax
16.49  30
23.65  22
27.09  100
27.72  84
36.75  18
39.15  33
47.46  20
48.64  37
49.03  17
64.45  17



Entry 2:
Calculated powder X-ray diffraction pattern
Compound: CsAcMnO3
Radiation: Cu Kα (weighted mean of Kα1 and Kα2)
Structure: the GGA+U geometry in Alexandria
Kinematic intensities with the Lorentz-polarization factor, no thermal factor.

Structural model:
```
data_CsAcMnO3
_chemical_formula_sum 'Cs2 Ac2 Mn2 O6'
_symmetry_space_group_name_H-M 'P 1'
_symmetry_Int_Tables_number 1
_cell_length_a 8.574
_cell_length_b 3.919
_cell_length_c 8.700
_cell_angle_alpha 90.00
_cell_angle_beta 102.87
_cell_angle_gamma 90.00
loop_
_symmetry_equiv_pos_as_xyz
'x,y,z'
loop_
_atom_site_label
_atom_site_fract_x
_atom_site_fract_y
_atom_site_fract_z
_atom_site_occupancy
Cs1 0.182 0.250 0.201 1
Cs2 0.818 0.750 0.799 1
Ac1 0.354 0.750 0.842 1
Ac2 0.646 0.250 0.158 1
Mn1 0.084 0.250 0.609 1
Mn2 0.916 0.750 0.391 1
O1 0.145 0.750 0.544 1
O2 0.165 0.250 0.846 1
O3 0.454 0.750 0.126 1
O4 0.546 0.250 0.874 1
O5 0.835 0.750 0.154 1
O6 0.855 0.250 0.456 1
```

Main lines, in order of rising 2θ (2θ = 10–80°):
Position (°2θ)  I/Imax
10.43  66
13.11  90
20.95  31
25.03  82
25.78  49
26.40  83
31.07  64
31.29  100
31.47  63
31.65  40